[1]
# CdCN3Cl2O
Theoretical X-ray powder pattern, Cu Ka. Input: a GGA-PBE-relaxed structure.
Peak positions follow from Bragg's law for the DFT cell and can differ from measured ones.

Largest 10 diffraction maxima, sorted by position, 10 to 90 degrees two-theta:
Position (°2θ)	I/Imax
11.8	100.0
14.3	43.3
19.0	19.3
23.5	13.5
23.8	17.8
27.0	17.9
31.5	11.7
34.7	10.8
34.8	17.4
41.4	11.5

Structure:
```
32
Lattice="7.0308 0.0000 0.0000 0.0000 9.3446 0.0000 0.0000 0.0000 12.4259" Properties=species:S:1:pos:R:3 pbc="T T T"
Cd 0.3606 1.9108 0.0000
Cd 3.1548 6.5831 6.2130
Cd 3.8760 2.7615 0.0000
Cd 6.6702 7.4338 6.2130
C 0.4511 7.4017 1.1081
C 3.0643 2.7294 7.3211
C 3.9665 6.6153 1.1081
C 6.5798 1.9429 7.3211
N 0.2793 6.2028 0.9224
N 0.7281 0.3549 4.4404
N 0.8462 1.4607 4.3748
N 2.6692 6.1330 10.5877
N 2.7873 5.0273 10.6534
N 3.2361 1.5305 7.1354
N 3.7947 7.8141 0.9224
N 4.2435 4.3174 4.4404
N 4.3616 3.2116 4.3748
N 6.1846 7.8839 10.5877
N 6.3027 8.9897 10.6534
N 6.7515 3.1418 7.1354
Cl 1.1861 5.9595 4.7688
Cl 1.5594 7.8517 7.8098
Cl 1.9560 3.1794 1.5969
Cl 2.3294 1.2872 10.9818
Cl 4.7015 8.0575 4.7688
Cl 5.0749 6.1652 7.8098
Cl 5.4714 1.4929 1.5969
Cl 5.8448 3.3851 10.9818
O 0.5974 8.5764 1.3002
O 2.9181 3.9041 7.5132
O 4.1128 5.4405 1.3002
O 6.4335 0.7682 7.5132
```


[2]
# Y10Si6B
Theoretical X-ray powder pattern, Cu Ka. Input: a GGA-PBE-relaxed structure.
Peak positions follow from Bragg's law for the DFT cell and can differ from measured ones.

Largest 10 diffraction maxima, sorted by position, 10 to 90 degrees two-theta:
Position (°2θ)	I/Imax
24.1	11.8
25.1	14.8
30.3	20.9
32.1	23.5
35.0	100.0
36.5	20.9
51.4	13.5
53.9	13.8
57.2	9.3
57.6	12.9

Structure:
```
17
Lattice="8.5286 0.0000 0.0000 -4.2643 7.3860 0.0000 0.0000 0.0000 6.4289" Properties=species:S:1:pos:R:3 pbc="T T T"
Y -1.0370 1.7962 1.5049
Y -3.2273 5.5898 4.9240
Y 2.0741 0.0000 1.5049
Y 1.0370 1.7962 4.9240
Y 0.0000 4.9240 0.0000
Y 0.0000 4.9240 3.2144
Y 4.2643 2.4620 0.0000
Y 4.2643 2.4620 3.2144
Y 6.4546 0.0000 4.9240
Y 3.2273 5.5898 1.5049
Si -1.6921 2.9307 4.8285
Si -2.5723 4.4553 1.6004
Si 3.3841 0.0000 4.8285
Si 1.6921 2.9307 1.6004
Si 5.1445 0.0000 1.6004
Si 2.5723 4.4553 4.8285
B 0.0000 0.0000 0.0000
```


[3]
# LiMg6C
Theoretical X-ray powder pattern, Cu Ka. Input: a GGA-PBE-relaxed structure.
Peak positions follow from Bragg's law for the DFT cell and can differ from measured ones.

Largest 10 diffraction maxima, sorted by position, 10 to 90 degrees two-theta:
Position (°2θ)	I/Imax
28.6	41.0
32.7	31.3
35.6	35.3
37.4	100.0
38.3	27.8
41.6	22.2
51.3	16.5
55.8	11.6
64.0	12.2
65.1	15.6

Structure:
```
8
Lattice="3.5595 0.0000 0.0000 0.0000 4.2684 5.0480 0.0000 -4.2684 5.0480" Properties=species:S:1:pos:R:3 pbc="T T T"
Li 0.0000 0.0000 0.0000
Mg 0.0000 0.0000 4.9280
Mg 0.0000 -1.3915 7.7738
Mg 0.0000 1.3915 7.7738
Mg 1.7797 -2.3411 5.0713
Mg 1.7797 0.0000 2.5592
Mg 1.7797 2.3411 5.0713
C 1.7797 0.0000 8.8162
```


[4]
# GeS2
Theoretical X-ray powder pattern, Cu Ka. Input: a GGA-PBE-relaxed structure.
Peak positions follow from Bragg's law for the DFT cell and can differ from measured ones.

Largest 10 diffraction maxima, sorted by position, 10 to 90 degrees two-theta:
Position (°2θ)	I/Imax
12.9	9.2
14.1	100.0
15.6	9.9
15.8	18.7
26.0	10.2
26.8	11.4
35.8	10.3
37.4	9.8
39.5	9.1
53.8	9.3

Structure:
```
48
Lattice="6.8561 0.0000 0.0000 0.0000 16.4273 0.0000 -0.2378 0.0000 12.5642" Properties=species:S:1:pos:R:3 pbc="T T T"
Ge 1.0502 2.5073 3.4889
Ge 0.9313 5.7064 9.7711
Ge 1.0654 8.2554 3.6372
Ge 0.9465 16.3856 9.9193
Ge 2.2517 11.3546 2.7874
Ge 2.1328 13.2864 9.0695
Ge 2.1388 2.5298 9.1014
Ge 2.2577 5.6839 2.8193
Ge 4.3607 10.7434 9.7450
Ge 4.4796 13.8976 3.4628
Ge 4.4855 3.1409 3.4947
Ge 4.3666 5.0727 9.7768
Ge 5.6718 0.0417 2.6449
Ge 5.5530 8.1720 8.9270
Ge 5.6870 10.7209 2.7932
Ge 5.5681 13.9201 9.0753
S 0.5540 10.9911 1.3658
S 0.4351 13.6499 7.6479
S 1.0235 0.4584 2.5695
S 0.9046 7.7552 8.8516
S 1.1018 4.0119 1.8345
S 0.9829 4.2018 8.1167
S 1.3449 1.8296 11.0956
S 1.4638 6.3841 4.8135
S 1.7586 0.6502 7.9310
S 1.8775 7.5635 1.6489
S 2.1910 9.9851 4.5577
S 2.0721 14.6559 10.8399
S 2.1563 11.1736 9.8227
S 2.2752 13.4674 3.5406
S 2.7664 2.7663 4.9078
S 2.6475 5.4473 11.1900
S 3.9708 10.9800 1.3743
S 3.8519 13.6610 7.6564
S 4.3432 2.9599 9.0236
S 4.4621 5.2537 2.7415
S 4.5462 1.7715 1.7244
S 4.4273 6.4422 8.0065
S 4.7409 8.8639 10.9154
S 4.8597 15.7771 4.6333
S 5.1545 10.0432 7.7507
S 5.2734 14.5978 1.4686
S 5.6354 12.2255 4.4476
S 5.5165 12.4155 10.7297
S 5.7137 8.6721 3.7126
S 5.5948 15.9689 9.9948
S 6.1832 2.7775 4.9164
S 6.0643 5.4362 11.1985
```